Entry 1:
Computed PXRD pattern
Compound: Ca2SiGe2Au4
Radiation: Cu Ka
Structure: a cell relaxed with GGA-PBE
Lines closer than 0.1° are merged.

Top 12 peaks for 5° ≤ 2θ ≤ 70°, by angle:
| two_theta | I_rel |
| --- | --- |
| 16.78 | 7 |
| 19.38 | 46 |
| 27.58 | 25 |
| 33.93 | 100 |
| 39.38 | 55 |
| 43.07 | 9 |
| 44.26 | 21 |
| 48.71 | 19 |
| 51.91 | 11 |
| 56.91 | 32 |
| 60.70 | 12 |
| 67.93 | 32 |

Structural model:
```
Ca2SiGe2Au4
1.0
-3.235 3.235 4.581
3.235 -3.235 4.581
3.235 3.235 -4.581
Ca Si Ge Au
2 1 2 4
Cartesian
3.235 0.000 2.291
0.000 3.235 2.291
0.000 0.000 0.000
0.000 0.000 2.889
0.000 0.000 6.273
1.715 1.715 0.000
1.519 -1.519 4.581
-1.519 1.519 4.581
1.519 1.519 4.581
```

***

Entry 2:
Computed PXRD pattern
Compound: CsZnPtCl6
Radiation: Cu Ka
Structure: a cell relaxed with GGA-PBE
Lines closer than 0.1° are merged.

Top 12 peaks for 5° ≤ 2θ ≤ 70°, by angle:
| two_theta | I_rel |
| --- | --- |
| 11.23 | 100 |
| 18.95 | 94 |
| 19.63 | 85 |
| 19.79 | 90 |
| 22.57 | 24 |
| 27.97 | 38 |
| 33.20 | 23 |
| 34.59 | 44 |
| 35.85 | 23 |
| 36.62 | 72 |
| 48.14 | 53 |
| 54.21 | 22 |

Structural model:
```
CsZnPtCl6
1.0
3.318 -5.457 0.000
3.318 5.457 0.000
-0.344 0.000 7.881
Cs Zn Pt Cl
1 1 1 6
Cartesian
0.000 0.000 0.000
3.146 -1.869 3.940
3.146 1.884 3.940
2.052 3.509 2.624
4.239 3.509 5.257
2.322 0.150 2.602
3.970 0.150 5.279
2.015 -3.305 2.422
4.276 -3.305 5.458
```